This entry pairs a crystal structure of Er6ZnCo with its calculated X-ray powder pattern. Radiation: CuKα. Structure: a DFT-relaxed cell (PBE, Alexandria).
Intensities are scaled so that the largest is 100.

Structural model:
a b c (Å): 4.8947 4.8947 16.9794
angles (deg): 90.00 90.00 90.00
Space group I4/mmm (No. 139)
Inequivalent atoms, fractional coordinates:
1 Er 0.0000 0.0000 0.2491 [4 per cell]
2 Er 0.0000 0.5000 0.0973 [8 per cell]
3 Zn 0.0000 0.0000 0.0000 [2 per cell]
4 Co 0.0000 0.0000 0.5000 [2 per cell]

Largest 10 diffraction maxima, in order of falling intensity, 2θ from 10° to 80°:
- 2.682 Å, I = 100, (1 1 4)
- 2.447 Å, I = 52, (2 0 0)
- 1.454 Å, I = 30, (3 1 4)
- 3.205 Å, I = 30, (1 1 2)
- 1.851 Å, I = 21, (2 0 6)
- 1.524 Å, I = 21, (1 1 10)
- 1.731 Å, I = 18, (2 2 0)
- 2.830 Å, I = 18, (0 0 6)
- 1.224 Å, I = 11, (4 0 0)
- 1.476 Å, I = 10, (2 2 6)


This entry pairs a crystal structure of ErZn2Co9 with its calculated X-ray powder pattern. Radiation: CuKα. Structure: a DFT-relaxed cell (PBE, Alexandria).
Intensities are scaled so that the largest is 100.

Structural model:
a b c (Å): 8.0122 8.0122 4.7554
angles (deg): 90.00 90.00 90.00
Space group P4/mbm (No. 127)
Inequivalent atoms, fractional coordinates:
1 Er 0.0000 0.0000 0.0000 [2 per cell]
2 Zn 0.1187 0.3813 0.0000 [4 per cell]
3 Co 0.0000 0.5000 0.5000 [2 per cell]
4 Co 0.0682 0.2096 0.5000 [8 per cell]
5 Co 0.1779 0.6779 0.2357 [8 per cell]

Largest 10 diffraction maxima, in order of falling intensity, 2θ from 10° to 80°:
- 2.236 Å, I = 100, (3 1 1)
- 1.981 Å, I = 55, (2 1 2)
- 2.045 Å, I = 36, (2 0 2)
- 1.943 Å, I = 36, (4 1 0)
- 2.013 Å, I = 30, (3 2 1)
- 2.434 Å, I = 30, (2 2 1)
- 2.534 Å, I = 22, (3 1 0)
- 1.792 Å, I = 17, (4 2 0)
- 1.311 Å, I = 16, (5 1 2)
- 2.378 Å, I = 15, (0 0 2)


This entry pairs a crystal structure of Er8Zn2Co with its calculated X-ray powder pattern. Radiation: CuKα. Structure: a DFT-relaxed cell (PBE, Alexandria).
Intensities are scaled so that the largest is 100.

Structural model:
a b c (Å): 7.3900 15.5014 5.9797
angles (deg): 90.00 122.94 90.00
Space group Cm (No. 8)
Inequivalent atoms, fractional coordinates:
1 Er 0.0000 0.0000 0.0000 [2 per cell]
2 Er 0.0058 0.1120 0.5161 [4 per cell]
3 Er 0.0428 0.3862 0.8683 [4 per cell]
4 Er 0.0456 0.5000 0.3635 [2 per cell]
5 Er 0.2714 0.1963 0.2059 [4 per cell]
6 Zn 0.2749 0.2809 0.6966 [4 per cell]
7 Co 0.2777 0.0000 0.5015 [2 per cell]

Largest 10 diffraction maxima, in order of falling intensity, 2θ from 10° to 80°:
- 2.724 Å, I = 100, (1 5 -1)
- 2.691 Å, I = 70, (1 3 1)
- 2.898 Å, I = 45, (1 1 -2)
- 2.879 Å, I = 44, (2 2 0)
- 2.670 Å, I = 35, (2 4 -1)
- 2.202 Å, I = 26, (3 3 -1)
- 2.851 Å, I = 26, (2 0 -2)
- 2.311 Å, I = 25, (3 1 -2)
- 2.387 Å, I = 24, (0 2 2)
- 1.550 Å, I = 22, (4 0 0)


This entry pairs a crystal structure of ErZnCo with its calculated X-ray powder pattern. Radiation: CuKα. Structure: a DFT-relaxed cell (PBE, Alexandria).
Intensities are scaled so that the largest is 100.

Structural model:
a b c (Å): 4.6338 7.6815 6.2554
angles (deg): 90.00 90.00 90.00
Space group Imma (No. 74)
Inequivalent atoms, fractional coordinates:
1 Er 0.0000 0.0000 0.0000 [4 per cell]
2 Zn 0.0000 0.2500 0.3914 [4 per cell]
3 Co 0.2500 0.2500 0.7500 [4 per cell]

Largest 10 diffraction maxima, in order of falling intensity, 2θ from 10° to 80°:
- 2.673 Å, I = 100, (1 2 1)
- 2.425 Å, I = 35, (0 2 2)
- 3.723 Å, I = 29, (1 0 1)
- 1.862 Å, I = 21, (2 0 2)
- 1.920 Å, I = 17, (0 4 0)
- 1.705 Å, I = 16, (1 2 3)
- 1.902 Å, I = 15, (1 0 3)
- 1.228 Å, I = 15, (2 2 4)
- 1.337 Å, I = 13, (2 4 2)
- 1.397 Å, I = 13, (3 2 1)


This entry pairs a crystal structure of ErZn8Co2 with its calculated X-ray powder pattern. Radiation: CuKα. Structure: a DFT-relaxed cell (PBE, Alexandria).
Intensities are scaled so that the largest is 100.

Structural model:
a b c (Å): 6.1642 6.1642 5.2034
angles (deg): 90.00 90.00 90.00
Space group P4/mmm (No. 123)
Inequivalent atoms, fractional coordinates:
1 Er 0.0000 0.0000 0.0000 [1 per cell]
2 Zn 0.2880 0.2880 0.2579 [8 per cell]
3 Co 0.0000 0.5000 0.5000 [2 per cell]

Largest 10 diffraction maxima, in order of falling intensity, 2θ from 10° to 80°:
- 1.988 Å, I = 100, (2 0 2)
- 2.179 Å, I = 58, (2 2 0)
- 3.341 Å, I = 57, (1 1 1)
- 2.757 Å, I = 34, (2 1 0)
- 3.976 Å, I = 31, (1 0 1)
- 1.429 Å, I = 26, (3 2 2)
- 2.055 Å, I = 26, (3 0 0)
- 2.397 Å, I = 25, (1 0 2)
- 1.218 Å, I = 21, (4 2 2)
- 1.825 Å, I = 21, (3 1 1)


This entry pairs a crystal structure of Er7Zn2Co2 with its calculated X-ray powder pattern. Radiation: CuKα. Structure: a DFT-relaxed cell (PBE, Alexandria).
Intensities are scaled so that the largest is 100.

Structural model:
a b c (Å): 7.4657 10.7157 6.8359
angles (deg): 90.00 90.00 90.00
Space group Cmmm (No. 65)
Inequivalent atoms, fractional coordinates:
1 Er 0.0000 0.0000 0.0000 [2 per cell]
2 Er 0.0000 0.5000 0.2442 [4 per cell]
3 Er 0.2500 0.2500 0.2524 [8 per cell]
4 Zn 0.1693 0.0000 0.5000 [4 per cell]
5 Co 0.0000 0.2948 0.0000 [4 per cell]

Largest 10 diffraction maxima, in order of falling intensity, 2θ from 10° to 80°:
- 2.281 Å, I = 100, (2 2 2)
- 3.063 Å, I = 99, (2 2 0)
- 2.679 Å, I = 67, (0 4 0)
- 2.985 Å, I = 55, (1 1 2)
- 2.345 Å, I = 43, (1 3 2)
- 1.493 Å, I = 26, (2 2 4)
- 2.882 Å, I = 25, (0 2 2)
- 3.418 Å, I = 21, (0 0 2)
- 1.709 Å, I = 20, (0 0 4)
- 1.441 Å, I = 20, (0 4 4)


This entry pairs a crystal structure of ErZn12Co4 with its calculated X-ray powder pattern. Radiation: CuKα. Structure: a DFT-relaxed cell (PBE, Alexandria).
Intensities are scaled so that the largest is 100.

Structural model:
a b c (Å): 8.3677 8.3677 8.3677
angles (deg): 90.00 90.00 90.00
Space group Im-3 (No. 204)
Inequivalent atoms, fractional coordinates:
1 Er 0.0000 0.0000 0.0000 [2 per cell]
2 Zn 0.0000 0.1651 0.3453 [24 per cell]
3 Co 0.2500 0.2500 0.2500 [8 per cell]

Largest 10 diffraction maxima, in order of falling intensity, 2θ from 10° to 80°:
- 2.646 Å, I = 100, (3 1 0)
- 2.236 Å, I = 55, (3 2 1)
- 1.708 Å, I = 34, (4 2 2)
- 1.641 Å, I = 31, (4 1 3)
- 1.234 Å, I = 16, (6 3 1)
- 2.958 Å, I = 11, (2 2 0)
- 1.871 Å, I = 11, (4 2 0)
- 1.435 Å, I = 9, (5 0 3)
- 1.395 Å, I = 8, (6 0 0)
- 3.416 Å, I = 8, (2 1 1)


This entry pairs a crystal structure of ErZn11Co with its calculated X-ray powder pattern. Radiation: CuKα. Structure: a DFT-relaxed cell (PBE, Alexandria).
Intensities are scaled so that the largest is 100.

Structural model:
a b c (Å): 5.0629 12.5691 6.7099
angles (deg): 90.00 111.88 90.00
Space group C2/m (No. 12)
Inequivalent atoms, fractional coordinates:
1 Er 0.0000 0.0000 0.0000 [2 per cell]
2 Zn 0.0000 0.5000 0.5000 [2 per cell]
3 Zn 0.1166 0.3940 0.2189 [8 per cell]
4 Zn 0.1599 0.1704 0.3580 [8 per cell]
5 Zn 0.2500 0.2500 0.0000 [4 per cell]
6 Co 0.0000 0.0000 0.5000 [2 per cell]

Largest 10 diffraction maxima, in order of falling intensity, 2θ from 10° to 80°:
- 2.213 Å, I = 100, (0 4 2)
- 2.195 Å, I = 65, (2 2 -2)
- 2.202 Å, I = 52, (2 2 0)
- 2.552 Å, I = 26, (1 3 1)
- 1.971 Å, I = 26, (2 4 -1)
- 2.544 Å, I = 23, (1 3 -2)
- 3.121 Å, I = 18, (1 3 -1)
- 2.531 Å, I = 17, (2 0 -1)
- 1.272 Å, I = 15, (2 6 -4)
- 1.392 Å, I = 15, (3 5 -1)